CrCd2B2O6: theoretical powder diffraction line list (Cu Kα (weighted mean of Kα1 and Kα2)), based on a cell relaxed with GGA+U.

```
data_CrCd2B2O6
_chemical_formula_sum 'Cr1 Cd2 B2 O6'
_symmetry_space_group_name_H-M 'P -3'
_symmetry_Int_Tables_number 147
_cell_length_a 4.9567
_cell_length_b 4.9567
_cell_length_c 6.7324
_cell_angle_alpha 90.00
_cell_angle_beta 90.00
_cell_angle_gamma 120.00
loop_
_symmetry_equiv_pos_as_xyz
'x,y,z'
'-x,-y,-z'
'-y,x-y,z'
'y,-x+y,-z'
'-x+y,-x,z'
'x-y,x,-z'
loop_
_atom_site_label
_atom_site_type_symbol
_atom_site_fract_x
_atom_site_fract_y
_atom_site_fract_z
Cr1 Cr 0.0000 0.0000 0.0000
Cd1 Cd 0.3333 0.6667 0.6710
B1 B 0.3333 0.6667 0.1711
O1 O 0.0847 0.3646 0.1774
```

The 10 most intense peaks (2θ from 5° to 70°), sorted by position:
| h k l | 2theta | intensity |
| --- | --- | --- |
| 1 0 0 | 20.7 | 12 |
| 1 0 1 | 24.6 | 100 |
| 0 1 2 | 33.8 | 79 |
| 1 1 0 | 36.2 | 41 |
| 0 2 1 | 44.3 | 35 |
| 2 0 2 | 50.4 | 17 |
| 1 1 3 | 55.2 | 31 |
| 3 -1 1 | 58.5 | 23 |
| 1 0 4 | 58.9 | 15 |
| 3 -2 2 | 63.7 | 19 |